Record 1
# KCr2S4
Simulated powder diffraction line list, Cu Kα. Input: a DFT-relaxed cell (PBE, the Materials Project).

Cell and atoms:
```
KCr2S4
1.0
11.3185 0.0000 0.0000
0.0000 3.5781 0.0000
0.0000 0.0000 13.1000
K Cr S
4 8 16
Direct
0.2383 0.2500 0.1653
0.2617 0.7500 0.6653
0.7383 0.2500 0.3347
0.7617 0.7500 0.8347
0.0635 0.2500 0.3918
0.0787 0.2500 0.8952
0.4213 0.7500 0.3952
0.4365 0.7500 0.8918
0.5635 0.2500 0.1082
0.5787 0.2500 0.6048
0.9213 0.7500 0.1048
0.9365 0.7500 0.6082
0.0248 0.7500 0.7834
0.0716 0.2500 0.5716
0.1076 0.7500 0.0131
0.2032 0.7500 0.3646
0.2968 0.2500 0.8646
0.3924 0.2500 0.5131
0.4284 0.7500 0.0716
0.4752 0.2500 0.2834
0.5248 0.7500 0.7166
0.5716 0.2500 0.9284
0.6076 0.7500 0.4869
0.7032 0.7500 0.1354
0.7968 0.2500 0.6354
0.8924 0.2500 0.9869
0.9284 0.7500 0.4284
0.9752 0.2500 0.2166
```

Largest 12 diffraction maxima, low angle first, 10° ≤ 2θ ≤ 90°:
2θ (°)	I_rel
15.65	73
27.26	95
29.53	44
32.35	49
33.33	62
34.53	26
35.22	78
40.62	80
44.48	22
49.61	100
51.05	41
51.63	22


Record 2
# KCr2S4
Simulated powder diffraction line list, Cu Kα. Input: a DFT-relaxed cell (PBE, the Materials Project).

Cell and atoms:
```
KCr2S4
1.0
11.4761 0.0000 0.0000
0.0000 8.0955 0.0000
0.0000 0.0000 12.1408
K Cr S
8 16 32
Direct
0.0633 0.1244 0.0000
0.0976 0.6253 0.6737
0.4024 0.6253 0.1737
0.4367 0.1244 0.5000
0.5633 0.8756 0.0000
0.5976 0.3747 0.6737
0.9024 0.3747 0.1737
0.9367 0.8756 0.5000
0.1150 0.6486 0.0320
0.1394 0.1545 0.6644
0.1508 0.3881 0.3495
0.1561 0.8810 0.2682
0.3439 0.8810 0.7682
0.3492 0.3881 0.8495
0.3606 0.1545 0.1644
0.3850 0.6486 0.5320
0.6150 0.3514 0.0320
0.6394 0.8455 0.6644
0.6508 0.6119 0.3495
0.6561 0.1190 0.2682
0.8439 0.1190 0.7682
0.8492 0.6119 0.8495
0.8606 0.8455 0.1644
0.8850 0.3514 0.5320
0.0081 0.9719 0.7488
0.0118 0.4761 0.9241
0.0260 0.6843 0.2029
0.0579 0.2056 0.4866
0.1987 0.3873 0.1523
0.2360 0.6649 0.3809
0.2444 0.9025 0.1065
0.2492 0.1290 0.8275
0.2508 0.1290 0.3275
0.2556 0.9025 0.6065
0.2640 0.6649 0.8809
0.3013 0.3873 0.6523
0.4421 0.2056 0.9866
0.4740 0.6843 0.7029
0.4882 0.4761 0.4241
0.4919 0.9719 0.2488
0.5081 0.0281 0.7488
0.5118 0.5239 0.9241
0.5260 0.3157 0.2029
0.5579 0.7944 0.4866
0.6987 0.6127 0.1523
0.7360 0.3351 0.3809
0.7444 0.0975 0.1065
0.7492 0.8710 0.8275
0.7508 0.8710 0.3275
0.7556 0.0975 0.6065
0.7640 0.3351 0.8809
0.8013 0.6127 0.6523
0.9421 0.7944 0.9866
0.9740 0.3157 0.7029
0.9882 0.5239 0.4241
0.9919 0.0281 0.2488
```

Largest 12 diffraction maxima, low angle first, 10° ≤ 2θ ≤ 90°:
2θ (°)	I_rel
15.25	66
24.44	39
26.96	79
32.21	41
33.06	100
33.40	58
35.51	97
39.79	34
44.20	32
44.78	35
47.97	31
51.17	32


Record 3
# K3Cr11S18
Simulated powder diffraction line list, Cu Kα. Input: a DFT-relaxed cell (PBE, the Materials Project).

Cell and atoms:
```
K3Cr11S18
1.0
10.7362 -1.7601 0.0000
10.7362 1.7601 0.0000
-2.8489 0.0000 16.2236
K Cr S
3 11 18
Direct
0.0000 0.0000 0.0000
0.3088 0.3088 0.4117
0.6121 0.6121 0.8227
0.1007 0.1007 0.3411
0.2147 0.2147 0.0435
0.2764 0.2764 0.6545
0.3357 0.3357 0.1681
0.3975 0.3975 0.7791
0.5115 0.5115 0.4816
0.6413 0.6413 0.5909
0.6548 0.6548 0.1897
0.8061 0.8061 0.9113
0.9573 0.9573 0.6330
0.9708 0.9708 0.2318
0.0765 0.0765 0.1928
0.1005 0.1005 0.4873
0.1704 0.1704 0.6845
0.2278 0.2278 0.1925
0.2294 0.2294 0.9030
0.3827 0.3827 0.9197
0.3844 0.3844 0.6302
0.4418 0.4418 0.1381
0.5116 0.5116 0.3354
0.5357 0.5357 0.6299
0.6412 0.6412 0.0375
0.6698 0.6698 0.3374
0.7448 0.7448 0.5594
0.8028 0.8028 0.0590
0.8093 0.8093 0.7637
0.8673 0.8673 0.2633
0.9423 0.9423 0.4853
0.9709 0.9709 0.7852
```

Largest 12 diffraction maxima, low angle first, 10° ≤ 2θ ≤ 90°:
2θ (°)	I_rel
10.75	96
10.91	41
21.59	25
32.73	49
32.95	100
34.48	35
39.30	33
41.47	56
47.06	25
47.66	31
51.95	40
52.32	56


Record 4
# KCr2S4
Simulated powder diffraction line list, Cu Kα. Input: a DFT-relaxed cell (PBE, the Materials Project).

Cell and atoms:
```
KCr2S4
1.0
0.0000 5.3981 5.3981
5.3981 0.0000 5.3981
5.3981 5.3981 0.0000
K Cr S
2 4 8
Direct
0.1250 0.1250 0.1250
0.8750 0.8750 0.8750
0.0000 0.5000 0.5000
0.5000 0.0000 0.5000
0.5000 0.5000 0.0000
0.5000 0.5000 0.5000
0.2760 0.2760 0.2760
0.2760 0.2760 0.6720
0.2760 0.6720 0.2760
0.3280 0.7240 0.7240
0.6720 0.2760 0.2760
0.7240 0.3280 0.7240
0.7240 0.7240 0.3280
0.7240 0.7240 0.7240
```

Largest 12 diffraction maxima, low angle first, 10° ≤ 2θ ≤ 90°:
2θ (°)	I_rel
14.21	100
23.30	41
27.40	87
33.19	78
43.56	95
47.65	91
49.98	14
55.84	17
61.32	16
66.53	15
85.87	19
88.80	14


Record 5
# KCr2S4
Simulated powder diffraction line list, Cu Kα. Input: a DFT-relaxed cell (PBE, the Materials Project).

Cell and atoms:
```
KCr2S4
1.0
6.5732 0.0000 0.0000
0.0200 8.6327 0.0000
0.6797 2.0829 12.1547
K Cr S
4 8 16
Direct
0.1540 0.2072 0.1617
0.2502 0.3528 0.5194
0.7498 0.6472 0.4806
0.8460 0.7928 0.8383
0.1586 0.7105 0.2102
0.2884 0.8724 0.5012
0.3518 0.5511 0.8009
0.3680 0.0468 0.8012
0.6320 0.9532 0.1988
0.6482 0.4489 0.1991
0.7116 0.1276 0.4988
0.8414 0.2895 0.7898
0.0515 0.0739 0.4267
0.1864 0.2874 0.8284
0.1972 0.6926 0.3837
0.3098 0.7842 0.8625
0.3253 0.6410 0.6257
0.3308 0.5219 0.1509
0.3365 0.9084 0.1222
0.4338 0.0326 0.6182
0.5662 0.9674 0.3818
0.6635 0.0916 0.8778
0.6692 0.4781 0.8491
0.6747 0.3590 0.3743
0.6902 0.2158 0.1375
0.8028 0.3074 0.6163
0.8136 0.7126 0.1716
0.9485 0.9261 0.5733
```

Largest 12 diffraction maxima, low angle first, 10° ≤ 2θ ≤ 90°:
2θ (°)	I_rel
13.67	18
17.00	18
21.94	100
24.85	22
25.08	36
26.75	44
27.17	28
27.76	17
28.57	21
31.22	30
31.43	19
41.86	25


Record 6
# KCr2S4
Simulated powder diffraction line list, Cu Kα. Input: a DFT-relaxed cell (PBE, the Materials Project).

Cell and atoms:
```
KCr2S4
1.0
7.9899 -1.5994 0.0000
7.9899 1.5994 0.0000
-1.4045 0.0000 5.3609
K Cr S
1 2 4
Direct
0.0000 0.0000 0.0000
0.2533 0.2533 0.3050
0.7467 0.7467 0.6950
0.1480 0.1480 0.5084
0.3276 0.3276 0.9776
0.6724 0.6724 0.0224
0.8520 0.8520 0.4916
```

Largest 12 diffraction maxima, low angle first, 10° ≤ 2θ ≤ 90°:
2θ (°)	I_rel
11.45	100
17.58	8
33.88	12
35.60	8
39.11	40
41.02	7
42.04	13
45.66	6
49.49	7
57.64	7
57.84	8
59.67	8


Record 7
# KCr2S4
Simulated powder diffraction line list, Cu Kα. Input: a DFT-relaxed cell (PBE, the Materials Project).

Cell and atoms:
```
KCr2S4
1.0
-4.0690 4.0690 4.4110
4.0690 -4.0690 4.4110
4.0690 4.0690 -4.4110
K Cr S
2 4 8
Direct
0.0000 0.0000 0.0000
0.7500 0.2500 0.5000
0.3613 0.6250 0.2363
0.3750 0.6113 0.7363
0.3887 0.1250 0.7637
0.8750 0.6387 0.2637
0.1015 0.4394 0.3147
0.1247 0.7868 0.6853
0.1894 0.3515 0.8147
0.2132 0.8985 0.3379
0.5368 0.3747 0.1853
0.5606 0.8753 0.6621
0.6253 0.8106 0.1621
0.6485 0.4632 0.8379
```

Largest 12 diffraction maxima, low angle first, 10° ≤ 2θ ≤ 90°:
2θ (°)	I_rel
14.81	96
21.84	34
26.49	42
31.08	56
32.37	81
40.92	23
41.29	100
44.53	33
51.01	23
52.26	54
54.55	16
56.12	21


Record 8
# KCr2S4
Simulated powder diffraction line list, Cu Kα. Input: a DFT-relaxed cell (PBE, the Materials Project).

Cell and atoms:
```
KCr2S4
1.0
5.9157 0.0000 0.0000
0.0000 3.5110 0.0000
-0.0430 0.0000 7.6369
K Cr S
1 2 4
Direct
0.0000 0.0000 0.0000
0.0000 0.0000 0.5000
0.5000 0.5000 0.5000
0.1642 0.5000 0.3264
0.3370 0.0000 0.6733
0.6630 0.0000 0.3267
0.8358 0.5000 0.6736
```

Largest 12 diffraction maxima, low angle first, 10° ≤ 2θ ≤ 90°:
2θ (°)	I_rel
11.59	100
29.59	8
31.85	22
32.52	9
37.94	46
38.61	22
46.74	7
52.10	8
53.28	15
57.16	12
57.29	6
66.69	7